LaH3S3O12: computed XRD peak list (a wavelength of 1.5418 Å), based on the GGA-PBE geometry in the Materials Project.
Kinematic intensities with the Lorentz-polarization factor, no thermal factor.

Main lines, by angle (2θ = 5–70°):
2θ (°)  intensity  h k l
10.63  86.7  1 0 0
18.22  41.0  1 0 1
23.71  56.1  1 1 1
26.05  100.0  2 0 1
32.12  55.0  1 2 1
50.16  47.5  1 4 0

Cell lengths 9.613, 9.613, 6.003 Å; angles 90.00, 90.00, 120.00 degrees
Fractional coordinates of all 38 atoms:
La 0.333 0.667 0.000
La 0.667 0.333 0.500
H 0.067 0.224 0.113
H 0.157 0.933 0.113
H 0.224 0.157 0.613
H 0.776 0.843 0.113
H 0.843 0.067 0.613
H 0.933 0.776 0.613
S 0.095 0.699 0.505
S 0.301 0.396 0.505
S 0.396 0.095 0.005
S 0.604 0.905 0.505
S 0.699 0.604 0.005
S 0.905 0.301 0.005
O 0.018 0.813 0.500
O 0.035 0.467 0.005
O 0.187 0.205 0.500
O 0.191 0.749 0.300
O 0.194 0.741 0.706
O 0.205 0.018 0.000
O 0.251 0.442 0.300
O 0.259 0.453 0.706
O 0.432 0.965 0.005
O 0.442 0.191 0.800
O 0.453 0.194 0.206
O 0.467 0.432 0.505
O 0.533 0.568 0.005
O 0.547 0.806 0.706
O 0.558 0.809 0.300
O 0.568 0.035 0.505
O 0.741 0.547 0.206
O 0.749 0.558 0.800
O 0.795 0.982 0.500
O 0.806 0.259 0.206
O 0.809 0.251 0.800
O 0.813 0.795 0.000
O 0.965 0.533 0.505
O 0.982 0.187 0.000